Computed powder diffraction line list of LiCu5P2O8 for Cu Kα X-rays, from a DFT-relaxed cell (GGA-PBE, Alexandria).
No peak broadening, texture or thermal motion is included.

Atomic structure:
Lattice parameters (Å, degrees): 5.162 6.212 5.678 90.00 93.05 90.00
Fractional positions:
Li  0.000  0.000  0.000
Cu  0.078  0.296  0.494
Cu  0.078  0.704  0.494
Cu  0.491  0.283  0.765
Cu  0.491  0.717  0.765
Cu  0.585  0.500  0.395
P  0.001  0.500  0.974
P  0.522  0.000  0.295
O  0.087  0.288  0.848
O  0.087  0.712  0.848
O  0.140  0.500  0.223
O  0.221  0.000  0.303
O  0.614  0.000  0.041
O  0.642  0.196  0.440
O  0.642  0.804  0.440
O  0.702  0.500  0.992

The 10 most intense peaks (2θ = 10–90°), by angle:
d 6.212, intensity 80
d 5.670, intensity 73
d 2.835, intensity 26
d 2.724, intensity 92
d 2.578, intensity 100
d 2.542, intensity 44
d 2.433, intensity 92
d 2.383, intensity 45
d 2.301, intensity 37
d 1.614, intensity 30